Structure and theoretical powder diffractogram of Sr2ZnAuN (a cell relaxed with PBE; Cu Ka).
Lines closer than 0.1° are merged.

Largest 10 diffraction maxima, by intensity, 10 to 90 degrees two-theta:
- d = 2.872 Å, I = 100
- d = 2.854 Å, I = 85
- d = 2.627 Å, I = 83
- d = 2.496 Å, I = 63
- d = 3.501 Å, I = 53
- d = 2.346 Å, I = 49
- d = 1.987 Å, I = 47
- d = 2.461 Å, I = 47
- d = 3.576 Å, I = 45
- d = 2.735 Å, I = 44

Atomic structure:
```
Sr2ZnAuN
1.0
7.3779 0.0000 0.0000
0.0000 3.9732 0.0000
-2.7232 0.0000 8.2063
Sr Zn Au N
4 2 2 2
Cartesian
0.2807 0.9933 3.1017
-1.2086 0.9933 7.8853
5.8633 2.9799 0.3210
4.3740 2.9799 5.1046
2.6373 2.9799 2.0816
2.0174 0.9933 6.1247
0.3493 2.9799 5.7294
4.3054 0.9933 2.4769
0.8275 2.9799 1.3792
3.8272 0.9933 6.8272
```



Structure and theoretical powder diffractogram of Ce3Zn4Au4 (a cell relaxed with PBE; Cu Ka).
Lines closer than 0.1° are merged.

Largest 10 diffraction maxima, by intensity, 10 to 90 degrees two-theta:
- d = 2.253 Å, I = 100
- d = 2.624 Å, I = 98
- d = 2.700 Å, I = 80
- d = 2.768 Å, I = 74
- d = 2.269 Å, I = 64
- d = 1.407 Å, I = 45
- d = 1.737 Å, I = 43
- d = 1.801 Å, I = 32
- d = 3.572 Å, I = 29
- d = 1.411 Å, I = 28

Atomic structure:
```
Ce3Zn4Au4
1.0
-1.8008 2.2694 14.2734
1.8008 -2.2694 14.2734
1.8008 2.2694 -14.2734
Ce Zn Au
3 4 4
Cartesian
0.0000 0.0000 0.0000
1.8008 0.0000 10.1713
0.0000 2.2694 4.1021
1.8008 0.0000 2.7191
0.0000 0.0000 7.3584
0.0000 0.0000 21.1884
0.0000 2.2694 11.5543
1.8008 0.0000 5.3603
0.0000 0.0000 12.8469
0.0000 0.0000 15.6999
0.0000 2.2694 8.9131
```



Structure and theoretical powder diffractogram of Te2Mo3WSe6 (a cell relaxed with PBE; Cu Ka).
Lines closer than 0.1° are merged.

Largest 10 diffraction maxima, by intensity, 10 to 90 degrees two-theta:
- d = 2.497 Å, I = 100
- d = 7.175 Å, I = 89
- d = 2.049 Å, I = 65
- d = 2.928 Å, I = 43
- d = 1.690 Å, I = 34
- d = 1.230 Å, I = 18
- d = 1.304 Å, I = 16
- d = 1.400 Å, I = 16
- d = 2.711 Å, I = 15
- d = 1.645 Å, I = 11

Atomic structure:
```
Te2Mo3WSe6
1.0
3.3805 0.0000 0.0000
-1.6902 2.9276 0.0000
0.0000 0.0000 28.6982
Te Mo W Se
2 3 1 6
Cartesian
0.0000 0.0000 0.0000
0.0000 0.0000 3.7832
0.0000 0.0000 9.2525
0.0000 0.0000 23.2535
0.0000 1.9517 16.2796
0.0000 1.9517 1.8914
0.0000 0.0000 14.6262
0.0000 0.0000 17.9331
0.0000 1.9517 7.5980
0.0000 1.9517 10.9058
0.0000 1.9517 21.6002
0.0000 1.9517 24.9075
```



Structure and theoretical powder diffractogram of Pu2AlS4 (a cell relaxed with PBE; Cu Ka).
Lines closer than 0.1° are merged.

Largest 10 diffraction maxima, by intensity, 10 to 90 degrees two-theta:
- d = 4.489 Å, I = 100
- d = 2.597 Å, I = 66
- d = 2.442 Å, I = 44
- d = 3.246 Å, I = 34
- d = 3.708 Å, I = 29
- d = 2.244 Å, I = 25
- d = 2.834 Å, I = 23
- d = 3.222 Å, I = 19
- d = 1.720 Å, I = 19
- d = 1.783 Å, I = 18

Atomic structure:
```
Pu2AlS4
1.0
6.5149 0.0000 0.0000
0.0000 6.4915 0.0000
-2.3358 0.0000 7.4118
Pu Al S
4 2 8
Cartesian
1.2713 1.6229 0.3926
0.2856 1.6229 4.1473
3.8935 4.8686 3.2645
2.9079 4.8686 7.0192
-0.2907 4.8686 5.9957
4.4699 1.6229 1.4161
-1.7394 0.0347 5.5222
-1.7394 3.2110 5.5222
5.9185 3.2805 1.8896
5.9185 6.4568 1.8896
2.6009 4.8686 0.7432
1.4170 4.8686 4.5674
2.7622 1.6229 2.8444
1.5783 1.6229 6.6686
```



Number 4 is which compound?
Pu2AlS4